[1]
Structure and simulated powder diffraction line list of Ge (a crystal structure in the Materials Project, relaxed with PBE; Cu Ka).

Peak list (8 most intense, 10 to 90 degrees two-theta, sorted by position)
2θ (°), Rel. int., h k l
34.62, 100, 2 0 0
35.73, 92, 1 0 1
49.77, 35, 2 2 0
50.60, 67, 2 1 1
62.76, 17, 3 0 1
70.38, 24, 1 1 2
73.70, 21, 3 2 1
83.41, 15, 4 2 0

Crystal structure
Unit cell a=5.182 b=5.182 c=2.874 alpha=90.00 beta=90.00 gamma=90.00
Space group I4_1/amd (No. 141, origin choice 2)
Unique sites:
1 Ge 0.000 0.250 0.375 (multiplicity 4)

[2]
Structure and simulated powder diffraction line list of Tl3SbS4 (a crystal structure in the Materials Project, relaxed with PBE; Cu Ka).

Peak list (8 most intense, 10 to 90 degrees two-theta, sorted by position)
2θ (°), Rel. int., h k l
22.11, 93, -1 1 2
22.79, 94, 1 1 0
23.09, 100, 1 -1 2
29.77, 91, 0 2 -2
29.99, 50, 0 0 4
30.40, 46, 2 0 -2
34.07, 44, 1 1 -4
34.25, 41, 2 -2 0

Crystal structure
Unit cell a=6.445 b=6.728 c=12.163 alpha=95.13 beta=98.51 gamma=105.59
Space group P-1 (No. 2)
Unique sites:
1 Tl 0.037 0.069 0.290 (multiplicity 2)
2 Tl 0.272 0.753 0.022 (multiplicity 2)
3 Tl 0.300 0.744 0.477 (multiplicity 2)
4 Sb 0.417 0.489 0.749 (multiplicity 2)
5 S 0.215 0.526 0.231 (multiplicity 2)
6 S 0.229 0.318 0.567 (multiplicity 2)
7 S 0.260 0.311 0.890 (multiplicity 2)
8 S 0.420 0.841 0.767 (multiplicity 2)

[3]
Structure and simulated powder diffraction line list of LuS2 (a crystal structure in the Materials Project, relaxed with PBE; Cu Ka).

Peak list (8 most intense, 10 to 90 degrees two-theta, sorted by position)
2θ (°), Rel. int., h k l
22.77, 29, 0 0 2
26.11, 100, 1 0 1
33.39, 38, 1 1 0
40.80, 58, 1 1 2
42.09, 42, 1 0 3
47.95, 25, 2 0 0
55.40, 27, 2 1 1
65.67, 22, 2 1 3

Crystal structure
Unit cell a=3.795 b=3.795 c=7.812 alpha=90.00 beta=90.00 gamma=90.00
Space group P4/nmm (No. 129, origin choice 2)
Unique sites:
1 Lu 0.250 0.250 0.227 (multiplicity 2)
2 S 0.250 0.250 0.869 (multiplicity 2)
3 S 0.250 0.750 0.500 (multiplicity 2)

[4]
Structure and simulated powder diffraction line list of Ta9Co2S6 (a crystal structure in the Materials Project, relaxed with PBE; Cu Ka).

Peak list (8 most intense, 10 to 90 degrees two-theta, sorted by position)
2θ (°), Rel. int., h k l
33.57, 60, 2 0 1
36.21, 59, 3 1 0
37.94, 100, 2 1 1
40.34, 39, 4 0 0
40.63, 19, 3 0 1
44.41, 41, 2 2 1
64.40, 22, 5 1 1
67.82, 19, 3 1 2

Crystal structure
Unit cell a=10.3279 b=10.3279 c=3.3277 alpha=90.00 beta=90.00 gamma=120.00
Space group P-62m (No. 189)
Unique sites:
1 Ta 0.0000 0.4583 0.0000 (multiplicity 3)
2 Ta 0.2017 0.7388 0.5000 (multiplicity 6)
3 Co 0.3333 0.6667 0.0000 (multiplicity 2)
4 S 0.0000 0.2765 0.5000 (multiplicity 3)
5 S 0.0000 0.7045 0.0000 (multiplicity 3)